The following is a calculated powder XRD pattern of Li2Mg3Zn2. It was derived from the GGA-PBE geometry in Alexandria, using λ = 1.5418 Å (Cu Kα).

Structure:
a = 2.986 Å, b = 4.577 Å, c = 18.855 Å
α = 90.00°, β = 90.00°, γ = 90.00°
Space group Immm (No. 71)
Unique sites:
Li  0.000  0.000  0.071 x4
Mg  0.000  0.000  0.500 x2
Mg  0.000  0.500  0.296 x4
Zn  0.000  0.500  0.142 x4

Principal peaks in the range 2θ = 10–90°, in order of falling intensity:
2θ (°)	I (rel.)	hkl
38.8	100	0 1 7
20.0	91	0 1 1
35.9	62	1 1 0
40.8	60	1 1 4
39.4	50	0 2 0
37.2	49	1 1 2

---

The following is a calculated powder XRD pattern of Ac4AsP2O. It was derived from the GGA-PBE geometry in Alexandria, using λ = 1.5418 Å (Cu Kα).

Structure:
a = 8.832 Å, b = 12.224 Å, c = 8.885 Å
α = 90.00°, β = 90.00°, γ = 90.00°
Space group Fmm2 (No. 42)
Unique sites:
Ac  0.000  0.242  0.000 x8
Ac  0.224  0.000  0.227 x8
As  0.000  0.000  0.503 x4
P  0.250  0.250  0.249 x8
O  0.000  0.000  0.068 x4

Principal peaks in the range 2θ = 10–90°, in order of falling intensity:
2θ (°)	I (rel.)	hkl
24.8	100	0 2 2
28.5	71	2 0 2
41.3	52	2 4 2
29.2	36	0 4 0
48.2	17	2 2 4
49.2	16	0 6 2